# 1
Starting from a cell relaxed with GGA+U, the powder diffraction line list of Li5Mn6B6O18 was simulated for Cu Kα (weighted mean of Kα1 and Kα2).
Intensities are scaled so that the largest is 100.

abc: 5.224 5.939 13.459
angles: 97.19 91.56 112.77
Space group P1 (No. 1)
Asymmetric unit:
Li  0.000  0.000  0.000 [1 per cell]
Li  0.049  0.441  0.082 [1 per cell]
Li  0.334  0.664  0.667 [1 per cell]
Li  0.385  0.104  0.749 [1 per cell]
Li  0.709  0.746  0.416 [1 per cell]
Mn  0.167  0.713  0.287 [1 per cell]
Mn  0.197  0.371  0.457 [1 per cell]
Mn  0.514  0.393  0.958 [1 per cell]
Mn  0.536  0.052  0.132 [1 per cell]
Mn  0.849  0.062  0.624 [1 per cell]
Mn  0.871  0.710  0.794 [1 per cell]
B  0.103  0.172  0.231 [1 per cell]
B  0.280  0.929  0.513 [1 per cell]
B  0.435  0.841  0.903 [1 per cell]
B  0.620  0.603  0.184 [1 per cell]
B  0.764  0.507  0.570 [1 per cell]
B  0.952  0.266  0.850 [1 per cell]
O  0.029  0.132  0.773 [1 per cell]
O  0.057  0.000  0.495 [1 per cell]
O  0.088  0.327  0.946 [1 per cell]
O  0.094  0.359  0.304 [1 per cell]
O  0.281  0.054  0.253 [1 per cell]
O  0.300  0.782  0.808 [1 per cell]
O  0.343  0.785  0.435 [1 per cell]
O  0.363  0.978  0.981 [1 per cell]
O  0.394  0.670  0.166 [1 per cell]
O  0.417  0.986  0.608 [1 per cell]
O  0.617  0.445  0.479 [1 per cell]
O  0.658  0.771  0.922 [1 per cell]
O  0.680  0.452  0.109 [1 per cell]
O  0.703  0.653  0.649 [1 per cell]
O  0.726  0.332  0.832 [1 per cell]
O  0.773  0.686  0.276 [1 per cell]
O  0.963  0.119  0.138 [1 per cell]
O  0.989  0.437  0.587 [1 per cell]

Main lines, by angle (10 to 90 degrees two-theta):
| hkl | 2θ/deg | I/Imax |
| --- | --- | --- |
| 1 0 1 | 20.18 | 92 |
| -1 1 1 | 20.71 | 25 |
| 1 0 -2 | 21.92 | 46 |
| 0 1 2 | 22.64 | 72 |
| 0 2 -2 | 33.85 | 100 |
| 1 0 4 | 34.00 | 66 |
| 2 -1 0 | 34.40 | 26 |
| 2 0 -1 | 37.52 | 25 |
| -2 1 3 | 39.77 | 28 |
| 0 0 6 | 40.68 | 38 |

***

# 2
Starting from a cell relaxed with GGA+U, the powder diffraction line list of LiMn2B2O6 was simulated for Cu Kα (weighted mean of Kα1 and Kα2).
Intensities are scaled so that the largest is 100.

abc: 5.263 5.862 9.226
angles: 105.32 91.91 111.67
Space group P-1 (No. 2)
Asymmetric unit:
Li  0.246  0.334  0.311 [2 per cell]
Mn  0.228  0.247  0.624 [2 per cell]
Mn  0.268  0.750  0.896 [2 per cell]
B  0.229  0.265  0.968 [2 per cell]
B  0.275  0.744  0.560 [2 per cell]
O  0.061  0.835  0.577 [2 per cell]
O  0.114  0.282  0.098 [2 per cell]
O  0.201  0.387  0.862 [2 per cell]
O  0.371  0.681  0.682 [2 per cell]
O  0.377  0.699  0.427 [2 per cell]
O  0.398  0.125  0.937 [2 per cell]

Main lines, by angle (10 to 90 degrees two-theta):
| hkl | 2θ/deg | I/Imax |
| --- | --- | --- |
| 1 0 -1 | 19.60 | 74 |
| 0 0 2 | 20.18 | 20 |
| 1 -1 1 | 20.88 | 20 |
| 0 1 -2 | 22.23 | 100 |
| 1 0 -3 | 33.32 | 27 |
| 1 -1 3 | 34.25 | 33 |
| 0 2 0 | 34.49 | 58 |
| 2 0 0 | 37.16 | 22 |
| -2 1 2 | 39.87 | 17 |
| 0 0 4 | 41.01 | 20 |

***

- What is the formula in the second record?
  LiMn2B2O6